Theoretical X-ray powder pattern of NiPt for Cu Ka, from a cell relaxed with GGA-PBE.

Cell and atoms:
a = 2.7188 Å, b = 2.7188 Å, c = 3.6277 Å
α = 90.00°, β = 90.00°, γ = 90.00°
Fractional coordinates of all 2 atoms:
Ni 0.0000 0.0000 0.0000
Pt 0.5000 0.5000 0.5000

Peak list (10 most intense, 10° ≤ 2θ ≤ 90°, in order of rising 2θ)
24.54 deg, 3.628 Å, I 23, (0 0 1); 32.95 deg, 2.719 Å, I 22, (1 0 0); 41.51 deg, 2.176 Å, I 100, (1 0 1); 47.28 deg, 1.922 Å, I 34, (1 1 0); 50.30 deg, 1.814 Å, I 14, (0 0 2); 53.98 deg, 1.699 Å, I 12, (1 1 1); 69.10 deg, 1.359 Å, I 11, (2 0 0); 71.51 deg, 1.319 Å, I 20, (1 1 2); 83.94 deg, 1.153 Å, I 26, (2 1 1); 88.49 deg, 1.105 Å, I 12, (1 0 3)